No. 1
For CsTeAuO, DFT lattice parameters and positions (GGA-PBE) gives the calculated PXRD pattern in this record (CuKα).

Cell and atoms:
Lattice parameters (Å, degrees): 5.0768 7.6753 6.8912 90.00 90.00 90.00
Space group Pmc2_1 (No. 26)
Asymmetric unit:
Cs (0.0000, 0.1674, 0.0000) [2 per cell]
Te (0.0000, 0.3581, 0.4809) [2 per cell]
Au (0.5000, 0.4696, 0.3989) [2 per cell]
O (0.5000, 0.3570, 0.1289) [2 per cell]

Top 10 peaks for 10 to 80 degrees two-theta, most intense first:
2θ 11.53, I 100.0, hkl 0 1 0
2θ 26.59, I 53.3, hkl 0 2 1
2θ 25.86, I 46.2, hkl 0 0 2
2θ 20.98, I 40.8, hkl 1 1 0
2θ 29.17, I 37.1, hkl 1 2 0
2θ 35.36, I 33.3, hkl 2 0 0
2θ 39.38, I 29.3, hkl 1 2 2
2θ 31.99, I 28.2, hkl 1 2 1
2θ 44.78, I 26.1, hkl 2 2 1
2θ 31.38, I 23.9, hkl 1 0 2

=====

No. 2
For HoSiGePd2, DFT lattice parameters and positions (GGA-PBE) gives the calculated PXRD pattern in this record (CuKα).

Cell and atoms:
Lattice parameters (Å, degrees): 4.2007 4.2007 10.0781 90.00 90.00 90.00
Space group I4mm (No. 107)
Asymmetric unit:
Ho (0.0000, 0.0000, 0.0000) [2 per cell]
Si (0.0000, 0.0000, 0.3785) [2 per cell]
Ge (0.0000, 0.0000, 0.6136) [2 per cell]
Pd (0.0000, 0.5000, 0.2560) [4 per cell]

Top 10 peaks for 10 to 80 degrees two-theta, most intense first:
2θ 35.07, I 100.0, hkl 1 1 2
2θ 43.07, I 41.9, hkl 2 0 0
2θ 34.18, I 35.0, hkl 1 0 3
2θ 73.76, I 22.5, hkl 3 1 2
2θ 56.09, I 16.9, hkl 2 1 3
2θ 50.20, I 14.8, hkl 1 0 5
2θ 22.94, I 14.6, hkl 1 0 1
2θ 62.54, I 13.6, hkl 2 2 0
2θ 63.64, I 12.8, hkl 1 1 6
2θ 57.09, I 12.3, hkl 2 0 4

=====

No. 3
For SbPt15, DFT lattice parameters and positions (GGA-PBE) gives the calculated PXRD pattern in this record (CuKα).

Cell and atoms:
Lattice parameters (Å, degrees): 3.9475 3.9477 44.5693 90.00 90.00 90.00
Space group Pmma (No. 51)
Asymmetric unit:
Sb (0.2500, 0.0000, 0.1604) [2 per cell]
Pt (0.2500, 0.0000, 0.2553) [2 per cell]
Pt (0.2500, 0.0000, 0.3439) [2 per cell]
Pt (0.2500, 0.0000, 0.4327) [2 per cell]
Pt (0.2500, 0.0000, 0.5223) [2 per cell]
Pt (0.2500, 0.0000, 0.6117) [2 per cell]
Pt (0.2500, 0.0000, 0.7002) [2 per cell]
Pt (0.2500, 0.0000, 0.7902) [2 per cell]
Pt (0.2500, 0.5000, 0.2098) [2 per cell]
Pt (0.2500, 0.5000, 0.2998) [2 per cell]
Pt (0.2500, 0.5000, 0.3883) [2 per cell]
Pt (0.2500, 0.5000, 0.4777) [2 per cell]
Pt (0.2500, 0.5000, 0.5673) [2 per cell]
Pt (0.2500, 0.5000, 0.6560) [2 per cell]
Pt (0.2500, 0.5000, 0.7453) [2 per cell]
Pt (0.2500, 0.5000, 0.8348) [2 per cell]

Top 10 peaks for 10 to 80 degrees two-theta, most intense first:
2θ 39.19, I 100.0, hkl 1 1 11
2θ 45.99, I 43.7, hkl 2 0 0
2θ 40.42, I 31.1, hkl 1 1 12
2θ 66.09, I 18.0, hkl 2 0 22
2θ 67.07, I 14.3, hkl 2 2 0
2θ 44.73, I 14.2, hkl 0 0 22
2θ 67.77, I 11.5, hkl 2 0 23
2θ 46.89, I 8.5, hkl 0 0 23
2θ 78.71, I 7.8, hkl 1 1 33
2θ 36.97, I 5.7, hkl 1 1 9